# ScCdSe2
Theoretical powder diffractogram, Cu Kα, 1.54184 Å. Input: the GGA-PBE geometry in Alexandria.
Intensities are scaled so that the largest is 100.

Most intense lines, 2θ from 10° to 90°, by angle:
31.34 deg, intensity 100.0; 33.79 deg, intensity 11.8; 42.98 deg, intensity 37.1; 46.79 deg, intensity 32.7; 57.40 deg, intensity 16.8; 65.40 deg, intensity 10.1; 71.50 deg, intensity 13.1; 77.09 deg, intensity 13.8

```
12
Lattice="3.8832 0.0000 0.0000 -1.9416 3.3630 0.0000 0.0000 0.0000 21.5859" Properties=species:S:1:pos:R:3 pbc="T T T"
Sc 0.0000 0.0000 0.0000
Sc 0.0000 2.2420 14.3906
Sc 1.9416 1.1210 7.1953
Cd 0.0000 0.0000 10.7930
Cd 0.0000 2.2420 3.5977
Cd 1.9416 1.1210 17.9883
Se 0.0000 0.0000 5.6137
Se 0.0000 0.0000 15.9722
Se 0.0000 2.2420 8.7769
Se 0.0000 2.2420 20.0043
Se 1.9416 1.1210 1.5816
Se 1.9416 1.1210 12.8090
```

# ScCd2Si
Theoretical powder diffractogram, Cu Kα, 1.54184 Å. Input: the GGA-PBE geometry in Alexandria.
Intensities are scaled so that the largest is 100.

Most intense lines, 2θ from 10° to 90°, by angle:
18.36 deg, intensity 35.0; 31.02 deg, intensity 20.2; 36.28 deg, intensity 100.0; 37.20 deg, intensity 23.3; 44.44 deg, intensity 27.6; 59.31 deg, intensity 22.3; 66.48 deg, intensity 15.6; 76.46 deg, intensity 20.7

```
8
Lattice="4.0771 0.0000 0.0000 0.0000 4.0771 0.0000 0.0000 0.0000 9.6668" Properties=species:S:1:pos:R:3 pbc="T T T"
Sc 0.0000 0.0000 0.0000
Sc 2.0386 2.0386 4.8334
Cd 0.0000 2.0386 2.4167
Cd 0.0000 2.0386 7.2501
Cd 2.0386 0.0000 2.4167
Cd 2.0386 0.0000 7.2501
Si 0.0000 0.0000 4.8334
Si 2.0386 2.0386 0.0000
```

# Sm4ScCd2
Theoretical powder diffractogram, Cu Kα, 1.54184 Å. Input: the GGA-PBE geometry in Alexandria.
Intensities are scaled so that the largest is 100.

Most intense lines, 2θ from 10° to 90°, by angle:
19.88 deg, intensity 23.5; 30.67 deg, intensity 18.9; 32.58 deg, intensity 100.0; 33.55 deg, intensity 63.8; 47.46 deg, intensity 23.9; 58.13 deg, intensity 18.7; 58.75 deg, intensity 25.0; 63.81 deg, intensity 15.4

```
7
Lattice="2.7488 1.5870 8.6041 -2.7488 1.5870 8.6041 0.0000 -3.1740 8.6041" Properties=species:S:1:pos:R:3 pbc="T T T"
Sm 0.0000 0.0000 3.3624
Sm 0.0000 0.0000 6.8638
Sm 0.0000 0.0000 18.9485
Sm 0.0000 0.0000 22.4499
Sc 0.0000 0.0000 12.9062
Cd 0.0000 0.0000 10.0115
Cd 0.0000 0.0000 15.8009
```

# Sm12Sc5Cd2
Theoretical powder diffractogram, Cu Kα, 1.54184 Å. Input: the GGA-PBE geometry in Alexandria.
Intensities are scaled so that the largest is 100.

Most intense lines, 2θ from 10° to 90°, by angle:
28.33 deg, intensity 32.1; 32.30 deg, intensity 90.4; 32.45 deg, intensity 46.8; 32.82 deg, intensity 26.6; 32.96 deg, intensity 100.0; 33.26 deg, intensity 42.0; 47.15 deg, intensity 22.2; 58.64 deg, intensity 27.9

```
19
Lattice="6.5520 -5.3874 0.0000 6.5520 5.3874 0.0000 -1.9250 0.0000 8.2323" Properties=species:S:1:pos:R:3 pbc="T T T"
Sm 0.7148 0.0000 1.5966
Sm 2.8944 2.2147 5.6700
Sm 4.9101 2.8192 0.9414
Sm 6.2688 2.8192 7.2910
Sm 4.0198 0.0000 3.0645
Sm 8.2845 2.2147 2.5624
Sm 2.8944 -2.2147 5.6700
Sm 7.1591 0.0000 5.1678
Sm 4.9101 -2.8192 0.9414
Sm 6.2688 -2.8192 7.2910
Sm 8.2845 -2.2147 2.5624
Sm 10.4641 0.0000 6.6357
Sc 0.5121 0.0000 4.8582
Sc 1.5813 0.0000 7.9291
Sc 6.5520 0.0000 0.0000
Sc 9.5975 0.0000 0.3032
Sc 10.6668 0.0000 3.3741
Cd 5.5894 2.8591 4.1162
Cd 5.5894 -2.8591 4.1162
```

# SmScCd14
Theoretical powder diffractogram, Cu Kα, 1.54184 Å. Input: the GGA-PBE geometry in Alexandria.
Intensities are scaled so that the largest is 100.

Most intense lines, 2θ from 10° to 90°, by angle:
34.57 deg, intensity 100.0; 38.77 deg, intensity 36.1; 42.75 deg, intensity 13.6; 55.99 deg, intensity 11.8; 59.07 deg, intensity 20.0; 67.50 deg, intensity 26.2; 72.93 deg, intensity 10.5; 73.03 deg, intensity 10.3

```
16
Lattice="6.5692 0.0000 0.0000 0.0000 6.5692 0.0000 0.0000 0.0000 8.4599" Properties=species:S:1:pos:R:3 pbc="T T T"
Sm 0.0000 0.0000 0.0000
Sc 3.2846 3.2846 0.0000
Cd 0.0000 0.0000 4.2300
Cd 0.0000 3.2846 0.0000
Cd 0.0000 3.2846 4.2300
Cd 1.6827 1.6827 2.1561
Cd 1.6827 1.6827 6.3038
Cd 1.6827 4.8864 2.1561
Cd 1.6827 4.8864 6.3038
Cd 3.2846 0.0000 0.0000
Cd 3.2846 0.0000 4.2300
Cd 3.2846 3.2846 4.2300
Cd 4.8864 1.6827 2.1561
Cd 4.8864 1.6827 6.3038
Cd 4.8864 4.8864 2.1561
Cd 4.8864 4.8864 6.3038
```

# Sm2ScCd
Theoretical powder diffractogram, Cu Kα, 1.54184 Å. Input: the GGA-PBE geometry in Alexandria.
Intensities are scaled so that the largest is 100.

Most intense lines, 2θ from 10° to 90°, by angle:
10.31 deg, intensity 10.9; 32.20 deg, intensity 100.0; 34.76 deg, intensity 40.9; 42.13 deg, intensity 11.6; 49.98 deg, intensity 14.4; 55.73 deg, intensity 20.2; 60.71 deg, intensity 31.5; 67.38 deg, intensity 11.2

```
4
Lattice="3.6496 0.0000 0.0000 0.0000 3.6496 0.0000 0.0000 0.0000 8.5794" Properties=species:S:1:pos:R:3 pbc="T T T"
Sm 0.0000 0.0000 2.0819
Sm 0.0000 0.0000 6.4975
Sc 1.8248 1.8248 4.2897
Cd 1.8248 1.8248 0.0000
```

# Sm4ScCd3
Theoretical powder diffractogram, Cu Kα, 1.54184 Å. Input: the GGA-PBE geometry in Alexandria.
Intensities are scaled so that the largest is 100.

Most intense lines, 2θ from 10° to 90°, by angle:
32.52 deg, intensity 26.5; 32.97 deg, intensity 25.8; 33.32 deg, intensity 100.0; 46.99 deg, intensity 18.7; 58.52 deg, intensity 19.0; 59.10 deg, intensity 18.8; 69.97 deg, intensity 11.1; 78.49 deg, intensity 12.0

```
8
Lattice="3.7418 0.0000 0.0000 0.0000 5.4329 0.0000 0.0000 0.0000 11.0149" Properties=species:S:1:pos:R:3 pbc="T T T"
Sm 0.0000 0.0000 0.0000
Sm 0.0000 0.0000 5.5075
Sm 0.0000 2.7164 2.6989
Sm 0.0000 2.7164 8.3160
Sc 1.8709 2.7164 5.5075
Cd 1.8709 0.0000 2.8152
Cd 1.8709 0.0000 8.1997
Cd 1.8709 2.7164 0.0000
```

# Sc6Cd5Sn
Theoretical powder diffractogram, Cu Kα, 1.54184 Å. Input: the GGA-PBE geometry in Alexandria.
Intensities are scaled so that the largest is 100.

Most intense lines, 2θ from 10° to 90°, by angle:
25.06 deg, intensity 24.2; 25.35 deg, intensity 11.9; 35.74 deg, intensity 50.6; 35.95 deg, intensity 100.0; 44.32 deg, intensity 11.0; 51.44 deg, intensity 16.9; 64.35 deg, intensity 33.1; 64.75 deg, intensity 16.4

```
12
Lattice="2.5099 -7.5445 0.0000 2.5099 7.5445 0.0000 0.0000 0.0000 7.0274" Properties=species:S:1:pos:R:3 pbc="T T T"
Sc 0.0000 0.0000 1.7440
Sc 0.0000 0.0000 5.2834
Sc 2.5099 2.5127 1.7761
Sc 2.5099 2.5127 5.2513
Sc 2.5099 -2.5127 1.7761
Sc 2.5099 -2.5127 5.2513
Cd 2.5099 5.0455 3.5137
Cd 2.5099 4.9194 0.0000
Cd 2.5099 0.0000 3.5137
Cd 2.5099 -4.9194 0.0000
Cd 2.5099 -5.0455 3.5137
Sn 2.5099 0.0000 0.0000
```